Structure and computed PXRD pattern of Pm4Er7Tm (a cell relaxed with GGA-PBE; CuKα).
Lines closer than 0.1° are merged.

Atomic structure:
```
Pm4Er7Tm
1.0
6.513 0.000 0.000
0.985 6.716 0.000
2.018 0.503 8.791
Pm Er Tm
4 7 1
direct
0.140 0.310 0.284
0.337 0.883 0.694
0.663 0.117 0.306
0.860 0.690 0.716
0.011 0.253 0.950
0.182 0.801 0.358
0.312 0.394 0.617
0.500 0.000 0.000
0.688 0.606 0.383
0.818 0.199 0.642
0.989 0.747 0.050
0.500 0.500 0.000
```

Largest 10 diffraction maxima, low angle first, 5° ≤ 2θ ≤ 70°:
hkl	two_theta	d_spacing	Rel. int.
0 0 3	30.5	2.930	36
2 0 2	31.2	2.865	39
1 -2 0	31.8	2.812	100
2 0 -1	32.2	2.781	52
1 2 2	32.3	2.768	35
0 1 3	32.6	2.743	17
1 -2 3	43.5	2.079	15
-1 2 3	45.8	1.982	12
3 2 1	46.8	1.942	13
3 2 -2	57.2	1.611	16